Structure and calculated X-ray powder pattern of InTcSe2N (a PBE-relaxed structure; Cu Kα (λ = 1.5418 Å)).
Intensities are scaled so that the largest is 1000.

Structural model:
```
5
Lattice="5.2505 0.0000 0.0000 0.0000 5.2505 0.0000 0.0000 0.0000 3.7257" Properties=species:S:1:pos:R:3 pbc="T T T"
In 0.0000 0.0000 0.0000
Tc 2.6252 2.6252 1.8629
Se 0.0000 2.6252 1.8629
Se 2.6252 0.0000 1.8629
N 2.6252 2.6252 0.0000
```

Principal peaks in the range 2θ from 10° to 90°, low angle first:
hkl  d_spacing  2theta  intensity
0 0 1  3.721  23.9  154
1 0 1  3.038  29.4  550
2 0 0  2.627  34.1  1000
2 1 1  1.986  45.7  328
0 0 2  1.863  48.9  119
2 2 0  1.856  49.1  236
2 0 2  1.519  61.0  241
3 1 1  1.517  61.1  110
2 2 2  1.315  71.8  146
4 2 0  1.174  82.1  126